No. 1
Simulated powder diffractogram
Compound: CoH12C4O10
Radiation: Cu Kα (λ = 1.5418 Å)
Structure: a cell relaxed with GGA+U
Peak positions follow from Bragg's law for the DFT cell and can differ from measured ones.

Cell and atoms:
a b c (Å): 8.8749 10.1770 4.9204
angles (deg): 90.00 94.89 90.00
Space group P2_1/c (No. 14)
One atom of each set of equivalent atoms:
Co 0.0000 0.0000 0.0000 (multiplicity 2)
H 0.0062 0.2474 0.8169 (multiplicity 4)
H 0.1420 0.5699 0.0704 (multiplicity 4)
H 0.1705 0.1796 0.8820 (multiplicity 4)
H 0.2223 0.6397 0.3359 (multiplicity 4)
H 0.3710 0.7295 0.6600 (multiplicity 4)
H 0.4864 0.6662 0.4649 (multiplicity 4)
C 0.3142 0.0559 0.2511 (multiplicity 4)
C 0.4431 0.0165 0.4319 (multiplicity 4)
O 0.0657 0.1659 0.7971 (multiplicity 4)
O 0.1202 0.6163 0.2427 (multiplicity 4)
O 0.1862 0.0054 0.2910 (multiplicity 4)
O 0.3375 0.1369 0.0630 (multiplicity 4)
O 0.3781 0.6951 0.4721 (multiplicity 4)

Peak list (10 most intense, 2θ from 5° to 70°, sorted by position)
d_spacing  I (rel.)  index
8.843  82.2  1 0 0
5.089  51.5  0 2 0
4.415  94.0  0 1 1
4.079  74.1  1 1 -1
3.011  32.0  2 1 1
2.697  100.0  1 3 -1
2.413  30.9  2 3 -1
2.369  43.7  3 1 1
2.039  15.4  2 2 -2
1.918  15.6  2 2 2

No. 2
Simulated powder diffractogram
Compound: Co2PH2CO7
Radiation: Cu Kα (λ = 1.5418 Å)
Structure: a cell relaxed with GGA+U
Peak positions follow from Bragg's law for the DFT cell and can differ from measured ones.

Cell and atoms:
a b c (Å): 7.7486 4.7297 15.1945
angles (deg): 90.00 115.58 90.00
Space group P2_1/c (No. 14)
One atom of each set of equivalent atoms:
Co 0.0696 0.0340 0.3613 (multiplicity 4)
Co 0.3854 0.5364 0.3020 (multiplicity 4)
P 0.1876 0.5255 0.6845 (multiplicity 4)
H 0.1338 0.7363 0.5172 (multiplicity 4)
H 0.2958 0.5259 0.0347 (multiplicity 4)
C 0.4330 0.1249 0.9925 (multiplicity 4)
O 0.0346 0.6380 0.5872 (multiplicity 4)
O 0.1417 0.6732 0.7653 (multiplicity 4)
O 0.1850 0.2004 0.6894 (multiplicity 4)
O 0.2134 0.6709 0.9878 (multiplicity 4)
O 0.3303 0.1997 0.9046 (multiplicity 4)
O 0.3900 0.6422 0.7074 (multiplicity 4)
O 0.4356 0.2412 0.0678 (multiplicity 4)

Peak list (10 most intense, 2θ from 5° to 70°, sorted by position)
d_spacing  I (rel.)  index
6.852  100.0  0 0 2
3.791  32.1  1 0 -4
3.546  41.4  1 1 1
3.409  66.4  1 1 -3
3.245  38.3  2 0 -4
2.963  63.6  2 1 -1
2.582  56.3  2 1 1
2.372  26.4  0 1 5
2.259  29.1  3 1 -2
1.740  22.4  3 2 -2